This entry pairs a crystal structure of NaNd2FeO5 with its computed powder XRD pattern. Radiation: Cu Kα (weighted mean of Kα1 and Kα2). Structure: DFT lattice parameters and positions (PBE+U).
Intensities are scaled so that the largest is 100.

Peak list (10 most intense, 2θ from 10° to 90°, by angle)
two_theta, I_rel, hkl
15.62, 87, 0 0 1
18.55, 29, 1 1 0
29.53, 38, 2 1 0
30.78, 88, 2 0 1
31.53, 35, 0 0 2
33.57, 100, 2 1 1
43.74, 69, 2 1 2
45.31, 29, 3 1 1
58.57, 30, 4 1 1
65.77, 30, 0 0 4

Crystal structure
a = 6.7645 Å, b = 6.7645 Å, c = 5.6744 Å
α = 90.00°, β = 90.00°, γ = 90.00°
Fractional coordinates of all 18 atoms:
Na 0.0000 0.0000 0.0000
Na 0.5000 0.5000 0.0000
Nd 0.1779 0.3221 0.5000
Nd 0.3221 0.8221 0.5000
Nd 0.6779 0.1779 0.5000
Nd 0.8221 0.6779 0.5000
Fe 0.0000 0.5000 0.0000
Fe 0.5000 0.0000 0.0000
O 0.0000 0.0000 0.5000
O 0.1319 0.6319 0.2386
O 0.1319 0.6319 0.7614
O 0.3681 0.1319 0.2386
O 0.3681 0.1319 0.7614
O 0.5000 0.5000 0.5000
O 0.6319 0.8681 0.2386
O 0.6319 0.8681 0.7614
O 0.8681 0.3681 0.2386
O 0.8681 0.3681 0.7614